Diffraction record for KPmHg2O4. The powder diffractogram is theoretical, not measured: it uses a cell relaxed with GGA-PBE and Cu Kα X-rays.
No peak broadening, texture or thermal motion is included.

Peak list (8 most intense, 2θ from 15° to 90°, in order of rising 2θ)
hkl 0 1 1, d 4.999, 17.7 deg, intensity 34
hkl 1 1 0, d 4.551, 19.5 deg, intensity 21
hkl 0 2 0, d 3.359, 26.5 deg, intensity 40
hkl 2 0 0, d 3.094, 28.9 deg, intensity 29
hkl 1 1 2, d 2.890, 30.9 deg, intensity 100
hkl 2 2 0, d 2.276, 39.6 deg, intensity 35
hkl 1 3 2, d 1.835, 49.7 deg, intensity 28
hkl 3 1 2, d 1.744, 52.5 deg, intensity 24

Atomic structure:
```
data_KPmHg2O4
_cell_length_a 6.188
_cell_length_b 6.717
_cell_length_c 7.483
_cell_angle_alpha 90.00
_cell_angle_beta 90.00
_cell_angle_gamma 90.00
_space_group_name_H-M_alt 'I 2 2 2'
_space_group_IT_number 23
_space_group_name_Hall 'I 2 2'
loop_
_atom_site_label
_atom_site_fract_x
_atom_site_fract_y
_atom_site_fract_z
K1 0.000 0.000 0.000
Pm1 0.000 0.000 0.500
Hg1 0.000 0.500 0.208
O1 0.221 0.165 0.309
```